No. 1
For Tb6Sm2Hg, a crystal structure in Alexandria, relaxed with PBE gives the simulated powder diffraction line list in this record (Cu Kα, 1.54184 Å).

Principal peaks in the range 2θ = 5–70°, in order of rising 2θ:
| 2θ (°) | Rel. int. | (hkl) |
| --- | --- | --- |
| 27.31 | 50 | 1 1 1 |
| 30.79 | 57 | 0 6 0 |
| 32.44 | 100 | 3 3 0 |
| 33.22 | 66 | 2 2 1 |
| 37.38 | 31 | 1 5 1 |
| 37.86 | 39 | 2 4 1 |

Structural model:
Cell lengths 9.411, 17.426, 3.553 Å; angles 90.00, 90.00, 90.00 degrees
Space group Cmmm (No. 65)
Inequivalent atoms, fractional coordinates:
Tb 0.175 0.162 0.000 [8 per cell]
Tb 0.209 0.500 0.500 [4 per cell]
Sm 0.000 0.320 0.500 [4 per cell]
Hg 0.000 0.000 0.000 [2 per cell]

No. 2
For TmSc3Al8, a crystal structure in Alexandria, relaxed with PBE gives the simulated powder diffraction line list in this record (Cu Kα, 1.54184 Å).

Principal peaks in the range 2θ = 5–70°, in order of rising 2θ:
| 2θ (°) | Rel. int. | (hkl) |
| --- | --- | --- |
| 10.02 | 46 | 0 0 1 |
| 21.52 | 63 | 0 1 1 |
| 33.21 | 61 | 1 1 0 |
| 36.08 | 100 | 0 1 3 |
| 39.14 | 86 | 1 1 2 |
| 39.92 | 59 | 2 0 1 |

Structural model:
Cell lengths 5.3953, 5.3953, 8.8243 Å; angles 90.00, 90.00, 120.00 degrees
Space group P3m1 (No. 156)
Inequivalent atoms, fractional coordinates:
Tm 0.0000 0.0000 0.0000 [1 per cell]
Sc 0.0000 0.0000 0.3670 [1 per cell]
Sc 0.6667 0.3333 0.5002 [1 per cell]
Sc 0.6667 0.3333 0.8628 [1 per cell]
Al 0.1619 0.3239 0.6807 [3 per cell]
Al 0.3333 0.6667 0.4342 [1 per cell]
Al 0.3333 0.6667 0.9325 [1 per cell]
Al 0.5048 0.0096 0.1862 [3 per cell]

No. 3
For SnHSe2, a crystal structure in Alexandria, relaxed with PBE gives the simulated powder diffraction line list in this record (Cu Kα, 1.54184 Å).

Principal peaks in the range 2θ = 5–70°, in order of rising 2θ:
| 2θ (°) | Rel. int. | (hkl) |
| --- | --- | --- |
| 15.53 | 60 | 1 0 0 |
| 28.02 | 68 | 2 0 -2 |
| 29.62 | 77 | 0 0 4 |
| 33.83 | 100 | 0 2 0 |
| 45.56 | 46 | 0 2 4 |
| 54.90 | 45 | 2 2 -6 |

Structural model:
Cell lengths 6.372, 5.301, 13.475 Å; angles 90.00, 116.47, 90.00 degrees
Space group P2/c (No. 13)
Inequivalent atoms, fractional coordinates:
Sn 0.039 0.248 0.105 [4 per cell]
H 0.351 0.478 0.860 [4 per cell]
Se 0.169 0.250 0.624 [4 per cell]
Se 0.349 0.241 0.361 [4 per cell]

No. 4
For Ho2MgRu2, a crystal structure in Alexandria, relaxed with PBE gives the simulated powder diffraction line list in this record (Cu Kα, 1.54184 Å).

Principal peaks in the range 2θ = 5–70°, in order of rising 2θ:
| 2θ (°) | Rel. int. | (hkl) |
| --- | --- | --- |
| 25.06 | 57 | 2 0 -2 |
| 33.49 | 40 | 2 0 2 |
| 37.11 | 97 | 4 0 0 |
| 37.39 | 100 | 1 1 -3 |
| 38.50 | 69 | 2 2 -1 |
| 41.70 | 43 | 2 2 1 |

Structural model:
Cell lengths 10.097, 5.371, 8.070 Å; angles 90.00, 106.45, 90.00 degrees
Space group C2/c (No. 15)
Inequivalent atoms, fractional coordinates:
Ho 0.146 0.166 0.147 [8 per cell]
Mg 0.000 0.346 0.750 [4 per cell]
Ru 0.135 0.329 0.500 [8 per cell]

No. 5
For Cs2AgSbS4, a crystal structure in Alexandria, relaxed with PBE gives the simulated powder diffraction line list in this record (Cu Kα, 1.54184 Å).

Principal peaks in the range 2θ = 5–70°, in order of rising 2θ:
| 2θ (°) | Rel. int. | (hkl) |
| --- | --- | --- |
| 22.84 | 82 | 1 1 -2 |
| 23.23 | 65 | 1 0 2 |
| 24.13 | 100 | 1 -2 1 |
| 26.28 | 60 | -2 1 1 |
| 27.20 | 56 | 2 0 0 |
| 30.48 | 94 | -1 1 3 |

Structural model:
Cell lengths 7.138, 7.524, 11.792 Å; angles 108.34, 94.41, 110.12 degrees
Space group P-1 (No. 2)
Inequivalent atoms, fractional coordinates:
Cs 0.240 0.142 0.407 [2 per cell]
Cs 0.254 0.774 0.815 [2 per cell]
Ag 0.112 0.284 0.912 [2 per cell]
Sb 0.370 0.608 0.229 [2 per cell]
S 0.238 0.255 0.109 [2 per cell]
S 0.252 0.644 0.411 [2 per cell]
S 0.264 0.267 0.727 [2 per cell]
S 0.268 0.791 0.121 [2 per cell]

No. 6
For Lu2Si4Mo3, a crystal structure in Alexandria, relaxed with PBE gives the simulated powder diffraction line list in this record (Cu Kα, 1.54184 Å).

Principal peaks in the range 2θ = 5–70°, in order of rising 2θ:
| 2θ (°) | Rel. int. | (hkl) |
| --- | --- | --- |
| 29.98 | 35 | 1 1 2 |
| 30.55 | 37 | 2 1 1 |
| 36.06 | 100 | 1 3 2 |
| 36.54 | 98 | 2 3 1 |
| 42.21 | 48 | 0 6 0 |
| 42.69 | 39 | 3 0 1 |

Structural model:
Cell lengths 6.677, 12.834, 6.897 Å; angles 90.00, 90.00, 90.00 degrees
Space group Pnma (No. 62)
Inequivalent atoms, fractional coordinates:
Lu 0.003 0.093 0.168 [8 per cell]
Si 0.034 0.250 0.868 [4 per cell]
Si 0.161 0.046 0.540 [8 per cell]
Si 0.198 0.750 0.633 [4 per cell]
Mo 0.166 0.250 0.496 [4 per cell]
Mo 0.170 0.624 0.334 [8 per cell]

No. 7
For Rb2Li3NpF12, a crystal structure in Alexandria, relaxed with PBE gives the simulated powder diffraction line list in this record (Cu Kα, 1.54184 Å).

Principal peaks in the range 2θ = 5–70°, in order of rising 2θ:
| 2θ (°) | Rel. int. | (hkl) |
| --- | --- | --- |
| 17.67 | 100 | 0 1 2 |
| 24.84 | 60 | 1 1 0 |
| 29.46 | 45 | 1 1 3 |
| 29.90 | 37 | 0 1 5 |
| 39.25 | 44 | 2 0 5 |
| 39.81 | 56 | 1 0 7 |

Structural model:
Cell lengths 7.1699, 7.1699, 17.0432 Å; angles 90.00, 90.00, 120.00 degrees
Space group R-3m (No. 166, hexagonal axes)
Inequivalent atoms, fractional coordinates:
Rb 0.0000 0.0000 0.0981 [6 per cell]
Li 0.0000 0.5000 0.0000 [9 per cell]
Np 0.0000 0.0000 0.5000 [3 per cell]
F 0.0062 0.5031 0.1300 [18 per cell]
F 0.0891 0.5445 0.2988 [18 per cell]

No. 8
For PmPr2NdBi4, a crystal structure in Alexandria, relaxed with PBE gives the simulated powder diffraction line list in this record (Cu Kα, 1.54184 Å).

Principal peaks in the range 2θ = 5–70°, in order of rising 2θ:
| 2θ (°) | Rel. int. | (hkl) |
| --- | --- | --- |
| 23.59 | 6 | 0 0 2 |
| 27.31 | 100 | 1 1 1 |
| 39.01 | 79 | 2 0 2 |
| 48.27 | 29 | 0 0 4 |
| 56.35 | 14 | 2 2 2 |
| 63.72 | 38 | 1 3 1 |

Structural model:
Cell lengths 7.997, 4.620, 7.998 Å; angles 90.00, 109.46, 90.00 degrees
Space group P2/m (No. 10)
Inequivalent atoms, fractional coordinates:
Pm 0.000 0.000 0.000 [1 per cell]
Pr 0.500 0.000 0.500 [1 per cell]
Pr 0.500 0.500 0.000 [1 per cell]
Nd 0.000 0.500 0.500 [1 per cell]
Bi 0.247 0.000 0.750 [2 per cell]
Bi 0.247 0.500 0.248 [2 per cell]

> Number 6 is which compound?

Lu2Si4Mo3